Structure and theoretical powder diffractogram of ThUAl6 (DFT lattice parameters and positions (PBE); CuKα).
Neutral-atom scattering factors, no anomalous dispersion.

Peak list (10 most intense, 10° ≤ 2θ ≤ 80°, most intense first)
- (1 0 1), 25.21 deg, rel. 100
- (2 0 1), 38.05 deg, rel. 76
- (1 1 0), 28.03 deg, rel. 50
- (1 0 0), 16.07 deg, rel. 32
- (2 1 1), 47.91 deg, rel. 31
- (1 1 2), 48.84 deg, rel. 23
- (2 0 0), 32.47 deg, rel. 19
- (3 1 1), 64.17 deg, rel. 18
- (0 0 2), 39.15 deg, rel. 16
- (2 2 2), 72.16 deg, rel. 15

Cell and atoms:
Unit cell a=6.3675 b=6.3675 c=4.6017 alpha=90.00 beta=90.00 gamma=120.00
Space group P-6m2 (No. 187)
Unique sites:
1 Th 0.0000 0.0000 0.0000 x1
2 U 0.3333 0.6667 0.5000 x1
3 Al 0.3782 0.1891 0.5000 x3
4 Al 0.5177 0.0354 0.0000 x3